# 1
For AcZn2SiIr2, a structure optimized by DFT (GGA-PBE) gives the calculated powder diffractogram in this record (Cu Kα (λ = 1.5418 Å)).
Intensities are scaled so that the largest is 100.

Crystal structure
Cell lengths 4.5256, 4.5256, 5.9667 Å; angles 90.00, 90.00, 90.00 degrees
Space group P4/mmm (No. 123)
One atom of each set of equivalent atoms:
Ac  0.0000  0.0000  0.0000
Zn  0.5000  0.5000  0.2369
Si  0.0000  0.0000  0.5000
Ir  0.0000  0.5000  0.5000

Top 10 peaks for 2θ = 10–90°, sorted by position:
| 2θ (°) | intensity | hkl |
| --- | --- | --- |
| 24.69 | 17.6 | 1 0 1 |
| 29.95 | 20.2 | 0 0 2 |
| 31.73 | 100.0 | 1 1 1 |
| 36.06 | 32.3 | 1 0 2 |
| 39.84 | 47.8 | 2 0 0 |
| 50.63 | 19.5 | 2 0 2 |
| 54.31 | 19.3 | 1 1 3 |
| 54.81 | 19.3 | 2 1 2 |
| 57.61 | 16.3 | 2 2 0 |
| 67.28 | 24.0 | 3 1 1 |

---

# 2
For PmSmAl2, a structure optimized by DFT (GGA-PBE) gives the calculated powder diffractogram in this record (Cu Kα (λ = 1.5418 Å)).
Intensities are scaled so that the largest is 100.

Crystal structure
Cell lengths 7.3845, 7.3845, 7.3845 Å; angles 90.00, 90.00, 90.00 degrees
Space group Fm-3m (No. 225)
One atom of each set of equivalent atoms:
Pm  0.0000  0.0000  0.0000
Sm  0.0000  0.0000  0.5000
Al  0.2500  0.2500  0.2500

Top 10 peaks for 2θ = 10–90°, sorted by position:
| 2θ (°) | intensity | hkl |
| --- | --- | --- |
| 24.10 | 58.5 | 2 0 0 |
| 34.35 | 100.0 | 2 2 0 |
| 42.40 | 17.9 | 2 2 2 |
| 49.36 | 17.9 | 4 0 0 |
| 55.66 | 24.3 | 4 2 0 |
| 61.52 | 36.9 | 4 2 2 |
| 72.39 | 11.4 | 4 4 0 |
| 77.57 | 11.5 | 6 0 0 |
| 82.64 | 16.0 | 6 2 0 |
| 87.66 | 7.0 | 6 2 2 |

---

# 3
For Rb2PBrCl5, a structure optimized by DFT (GGA-PBE) gives the calculated powder diffractogram in this record (Cu Kα (λ = 1.5418 Å)).
Intensities are scaled so that the largest is 100.

Crystal structure
Cell lengths 7.2740, 7.2740, 10.0994 Å; angles 90.00, 90.00, 90.00 degrees
Space group I4mm (No. 107)
One atom of each set of equivalent atoms:
Rb  0.0000  0.5000  0.0000
P  0.0000  0.0000  0.2492
Br  0.0000  0.0000  0.4983
Cl  0.0000  0.0000  0.0251
Cl  0.2241  0.2241  0.2493

Top 10 peaks for 2θ = 10–90°, sorted by position:
| 2θ (°) | intensity | hkl |
| --- | --- | --- |
| 15.01 | 21.9 | 1 0 1 |
| 24.48 | 18.3 | 2 0 0 |
| 30.29 | 100.0 | 2 0 2 |
| 34.89 | 43.6 | 2 2 0 |
| 35.56 | 21.3 | 0 0 4 |
| 50.17 | 13.5 | 4 0 0 |
| 50.67 | 27.0 | 2 2 4 |
| 59.73 | 22.1 | 4 2 2 |
| 60.62 | 11.4 | 2 0 6 |
| 62.99 | 12.8 | 4 0 4 |

---

# 4
For LaSi4Pt2, a structure optimized by DFT (GGA-PBE) gives the calculated powder diffractogram in this record (Cu Kα (λ = 1.5418 Å)).
Intensities are scaled so that the largest is 100.

Crystal structure
Cell lengths 17.2568, 4.2451, 6.7092 Å; angles 90.00, 90.00, 90.00 degrees
Space group Pnma (No. 62)
One atom of each set of equivalent atoms:
La  0.1487  0.2500  0.0256
Si  0.0389  0.7500  0.8646
Si  0.0581  0.2500  0.4545
Si  0.1690  0.7500  0.3429
Si  0.1862  0.7500  0.7258
Pt  0.0214  0.7500  0.2461
Pt  0.1983  0.2500  0.5262

Top 10 peaks for 2θ = 10–90°, sorted by position:
| 2θ (°) | intensity | hkl |
| --- | --- | --- |
| 23.35 | 32.1 | 2 1 0 |
| 26.92 | 40.9 | 2 1 1 |
| 28.55 | 86.4 | 2 0 2 |
| 29.52 | 66.8 | 4 1 0 |
| 31.10 | 39.4 | 6 0 0 |
| 32.46 | 33.0 | 4 1 1 |
| 35.66 | 100.0 | 2 1 2 |
| 42.59 | 55.7 | 0 2 0 |
| 47.12 | 34.6 | 2 1 3 |
| 52.08 | 33.9 | 2 2 2 |

---

# 5
For Y2Er12Sc, a structure optimized by DFT (GGA-PBE) gives the calculated powder diffractogram in this record (Cu Kα (λ = 1.5418 Å)).
Intensities are scaled so that the largest is 100.

Crystal structure
Cell lengths 7.0612, 11.0179, 23.8990 Å; angles 90.00, 91.73, 90.00 degrees
Space group C2/m (No. 12)
One atom of each set of equivalent atoms:
Y  0.1364  0.0000  0.2179
Y  0.1364  0.5000  0.2178
Er  0.0702  0.0000  0.3705
Er  0.0702  0.5000  0.3705
Er  0.1048  0.2500  0.8293
Er  0.1176  0.0000  0.9224
Er  0.1178  0.5000  0.9225
Er  0.1282  0.2498  0.5615
Er  0.1306  0.2501  0.0552
Er  0.1941  0.2499  0.6984
Sc  0.2503  0.0000  0.4999

Top 10 peaks for 2θ = 10–90°, sorted by position:
| 2θ (°) | intensity | hkl |
| --- | --- | --- |
| 16.09 | 14.8 | 0 2 0 |
| 29.92 | 19.2 | 0 0 8 |
| 30.41 | 28.1 | 2 2 1 |
| 30.82 | 79.8 | 0 2 7 |
| 32.48 | 100.0 | 0 4 0 |
| 33.35 | 62.9 | 2 2 -4 |
| 34.04 | 24.8 | 2 2 4 |
| 34.15 | 41.3 | 0 2 8 |
| 44.73 | 19.4 | 0 4 8 |
| 59.03 | 18.5 | 0 6 8 |